Entry 1:
The following is a computed powder XRD pattern of Li3CrCo3O8. It was derived from a GGA+U-relaxed structure, using a wavelength of 1.5418 Å.

Crystal structure
```
Li3CrCo3O8
1.0
5.769 0.000 0.000
-2.882 5.131 0.000
-2.867 -1.684 9.812
Li Cr Co O
6 2 6 16
Direct
0.001 0.255 0.249
0.494 0.745 0.246
0.495 0.743 0.751
0.505 0.257 0.249
0.506 0.255 0.754
0.999 0.745 0.751
0.500 0.000 0.000
0.500 0.500 0.500
0.000 0.000 0.000
0.000 0.000 0.500
0.000 0.500 0.000
0.000 0.500 0.500
0.500 0.000 0.500
0.500 0.500 0.000
0.232 0.853 0.612
0.234 0.381 0.606
0.240 0.885 0.109
0.246 0.619 0.394
0.250 0.122 0.892
0.250 0.378 0.120
0.262 0.633 0.894
0.263 0.131 0.395
0.737 0.869 0.605
0.738 0.367 0.106
0.750 0.622 0.880
0.750 0.878 0.108
0.754 0.381 0.606
0.760 0.115 0.891
0.766 0.619 0.394
0.768 0.147 0.388
```

Largest 12 diffraction maxima, by angle, 15° ≤ 2θ ≤ 90°:
| 2θ (°) | d/Å | intensity |
| --- | --- | --- |
| 18.1 | 4.906 | 100.0 |
| 35.5 | 2.528 | 13.9 |
| 36.3 | 2.478 | 23.5 |
| 37.8 | 2.380 | 7.3 |
| 42.9 | 2.107 | 22.5 |
| 43.6 | 2.075 | 42.1 |
| 62.2 | 1.493 | 5.7 |
| 62.5 | 1.487 | 5.8 |
| 62.6 | 1.484 | 5.7 |
| 63.2 | 1.471 | 6.0 |
| 63.2 | 1.471 | 5.9 |
| 66.4 | 1.409 | 7.1 |



Entry 2:
The following is a computed powder XRD pattern of Li6CrCo3P6O24. It was derived from a GGA+U-relaxed structure, using a wavelength of 1.5418 Å.

Crystal structure
```
Li6CrCo3P6O24
1.0
8.454 0.000 0.000
3.973 7.546 0.000
3.986 2.429 7.138
Li Cr Co P O
6 1 3 6 24
Direct
0.000 0.000 0.000
0.087 0.498 0.926
0.276 0.856 0.651
0.522 0.687 0.303
0.726 0.353 0.147
0.904 0.121 0.490
0.108 0.703 0.509
0.397 0.994 0.791
0.605 0.209 0.007
0.899 0.498 0.304
0.002 0.301 0.699
0.206 0.097 0.191
0.300 0.600 0.105
0.501 0.388 0.610
0.703 0.896 0.403
0.794 0.807 0.904
0.019 0.265 0.209
0.062 0.461 0.664
0.135 0.540 0.136
0.156 0.106 0.722
0.178 0.942 0.389
0.223 0.041 0.036
0.266 0.655 0.268
0.300 0.768 0.920
0.347 0.586 0.579
0.380 0.139 0.152
0.436 0.231 0.649
0.488 0.440 0.087
0.512 0.917 0.559
0.556 0.356 0.772
0.626 0.853 0.850
0.666 0.400 0.420
0.706 0.077 0.232
0.729 0.732 0.348
0.783 0.966 0.950
0.801 0.618 0.071
0.844 0.281 0.893
0.867 0.857 0.463
0.942 0.329 0.539
0.990 0.769 0.748
```

Largest 12 diffraction maxima, by angle, 15° ≤ 2θ ≤ 90°:
| 2θ (°) | d/Å | intensity |
| --- | --- | --- |
| 20.2 | 4.387 | 63.3 |
| 20.9 | 4.259 | 78.4 |
| 21.0 | 4.224 | 36.0 |
| 24.0 | 3.703 | 100.0 |
| 24.1 | 3.693 | 30.7 |
| 24.2 | 3.673 | 63.0 |
| 29.3 | 3.044 | 40.6 |
| 31.4 | 2.847 | 25.2 |
| 33.1 | 2.707 | 28.0 |
| 33.2 | 2.696 | 26.8 |
| 33.4 | 2.681 | 26.3 |
| 35.4 | 2.533 | 51.9 |



Entry 3:
The following is a computed powder XRD pattern of Li4CrCo3P4O16. It was derived from a GGA+U-relaxed structure, using a wavelength of 1.5418 Å.

Crystal structure
```
Li4CrCo3P4O16
1.0
4.765 0.000 0.000
0.000 6.090 0.000
-0.106 0.000 10.255
Li Cr Co P O
4 1 3 4 16
Direct
0.000 0.246 0.000
0.000 0.754 0.000
0.491 0.247 0.503
0.491 0.753 0.503
0.541 0.500 0.218
0.016 0.000 0.283
0.478 0.000 0.780
0.985 0.500 0.722
0.080 0.500 0.406
0.418 0.500 0.905
0.584 0.000 0.094
0.910 0.000 0.596
0.198 0.500 0.549
0.212 0.294 0.338
0.212 0.706 0.338
0.233 0.000 0.602
0.262 0.000 0.098
0.279 0.297 0.835
0.279 0.703 0.835
0.302 0.500 0.047
0.701 0.000 0.953
0.727 0.199 0.165
0.727 0.801 0.165
0.740 0.500 0.902
0.756 0.500 0.398
0.773 0.203 0.666
0.773 0.797 0.666
0.790 0.000 0.455
```

Largest 12 diffraction maxima, by angle, 15° ≤ 2θ ≤ 90°:
| 2θ (°) | d/Å | intensity |
| --- | --- | --- |
| 17.3 | 5.127 | 48.7 |
| 20.5 | 4.338 | 47.6 |
| 20.6 | 4.304 | 34.9 |
| 25.2 | 3.533 | 56.5 |
| 25.3 | 3.514 | 69.9 |
| 29.3 | 3.045 | 100.0 |
| 35.4 | 2.537 | 68.8 |
| 35.7 | 2.517 | 69.6 |
| 36.1 | 2.490 | 42.9 |
| 52.0 | 1.757 | 30.1 |
| 55.9 | 1.646 | 26.2 |
| 60.8 | 1.522 | 30.8 |



Entry 4:
The following is a computed powder XRD pattern of Li4V3Cr2CoP6O24. It was derived from a GGA+U-relaxed structure, using a wavelength of 1.5418 Å.

Crystal structure
```
Li4V3Cr2CoP6O24
1.0
8.476 0.000 0.000
3.825 7.609 0.000
4.006 2.574 7.376
Li V Cr Co P O
4 3 2 1 6 24
Direct
0.000 0.000 0.000
0.098 0.909 0.509
0.200 0.421 0.379
0.584 0.616 0.814
0.493 0.914 0.297
0.706 0.125 0.506
0.993 0.416 0.803
0.352 0.772 0.146
0.841 0.271 0.655
0.197 0.617 0.998
0.100 0.208 0.202
0.290 0.018 0.687
0.414 0.515 0.603
0.595 0.317 0.116
0.787 0.825 0.907
0.900 0.728 0.404
0.042 0.230 0.052
0.093 0.709 0.248
0.094 0.172 0.718
0.161 0.368 0.172
0.252 0.008 0.232
0.253 0.456 0.636
0.280 0.862 0.878
0.302 0.958 0.540
0.396 0.569 0.757
0.426 0.678 0.417
0.439 0.512 0.100
0.454 0.084 0.628
0.519 0.163 0.160
0.595 0.847 0.061
0.606 0.356 0.577
0.672 0.273 0.263
0.738 0.790 0.338
0.741 0.339 0.923
0.782 0.014 0.741
0.811 0.671 0.849
0.880 0.871 0.477
0.914 0.529 0.551
0.945 0.795 0.968
0.952 0.180 0.397
```

Largest 12 diffraction maxima, by angle, 15° ≤ 2θ ≤ 90°:
| 2θ (°) | d/Å | intensity |
| --- | --- | --- |
| 19.7 | 4.497 | 50.5 |
| 19.9 | 4.462 | 100.0 |
| 23.2 | 3.834 | 47.2 |
| 23.4 | 3.798 | 38.3 |
| 23.7 | 3.752 | 37.6 |
| 23.9 | 3.724 | 45.0 |
| 24.1 | 3.688 | 90.6 |
| 32.2 | 2.783 | 38.3 |
| 32.4 | 2.763 | 34.3 |
| 33.5 | 2.675 | 47.8 |
| 34.6 | 2.589 | 78.5 |
| 34.9 | 2.569 | 36.8 |



Entry 5:
The following is a computed powder XRD pattern of Li4Cr2Co3Sb3O16. It was derived from a GGA+U-relaxed structure, using a wavelength of 1.5418 Å.

Crystal structure
```
Li4Cr2Co3Sb3O16
1.0
6.056 0.000 0.000
-3.026 5.318 0.000
-0.071 -0.350 9.653
Li Cr Co Sb O
4 2 3 3 16
Direct
0.000 0.000 0.000
0.016 0.031 0.523
0.353 0.708 0.421
0.684 0.378 0.898
0.365 0.738 0.994
0.706 0.400 0.513
0.192 0.879 0.728
0.687 0.891 0.731
0.856 0.714 0.233
0.201 0.395 0.732
0.361 0.220 0.233
0.857 0.220 0.231
0.033 0.067 0.337
0.045 0.060 0.820
0.060 0.555 0.866
0.182 0.366 0.119
0.193 0.897 0.121
0.342 0.711 0.624
0.364 0.236 0.614
0.482 0.006 0.860
0.502 0.570 0.866
0.537 0.524 0.358
0.543 0.085 0.357
0.680 0.364 0.118
0.703 0.900 0.118
0.871 0.228 0.616
0.875 0.725 0.618
0.987 0.522 0.358
```

Largest 12 diffraction maxima, by angle, 15° ≤ 2θ ≤ 90°:
| 2θ (°) | d/Å | intensity |
| --- | --- | --- |
| 18.4 | 4.826 | 100.0 |
| 18.8 | 4.728 | 32.0 |
| 19.0 | 4.668 | 20.6 |
| 19.1 | 4.642 | 18.0 |
| 19.3 | 4.592 | 21.9 |
| 34.1 | 2.629 | 22.6 |
| 34.7 | 2.586 | 15.6 |
| 35.1 | 2.554 | 28.6 |
| 35.3 | 2.545 | 22.7 |
| 35.4 | 2.539 | 17.3 |
| 45.0 | 2.013 | 23.2 |
| 60.6 | 1.529 | 27.7 |



Entry 6:
The following is a computed powder XRD pattern of Li4Cr3Co3Sb2O16. It was derived from a GGA+U-relaxed structure, using a wavelength of 1.5418 Å.

Crystal structure
```
Li4Cr3Co3Sb2O16
1.0
5.063 -2.940 0.000
5.063 2.940 0.000
-0.116 0.000 9.544
Li Cr Co Sb O
4 3 3 2 16
Direct
0.000 0.000 0.000
0.001 0.001 0.497
0.325 0.325 0.404
0.659 0.659 0.909
0.165 0.656 0.720
0.656 0.165 0.720
0.826 0.826 0.220
0.167 0.167 0.721
0.337 0.825 0.220
0.825 0.337 0.220
0.328 0.328 0.997
0.660 0.660 0.492
0.001 0.001 0.814
0.002 0.002 0.312
0.029 0.471 0.847
0.159 0.159 0.107
0.160 0.671 0.102
0.324 0.833 0.602
0.325 0.325 0.613
0.471 0.029 0.847
0.477 0.477 0.851
0.507 0.959 0.346
0.512 0.512 0.339
0.656 0.656 0.117
0.671 0.160 0.102
0.832 0.832 0.598
0.833 0.324 0.602
0.959 0.507 0.346
```

Largest 12 diffraction maxima, by angle, 15° ≤ 2θ ≤ 90°:
| 2θ (°) | d/Å | intensity |
| --- | --- | --- |
| 19.7 | 4.497 | 100.0 |
| 19.8 | 4.476 | 57.8 |
| 20.0 | 4.450 | 27.3 |
| 25.5 | 3.491 | 28.6 |
| 33.1 | 2.706 | 34.2 |
| 33.3 | 2.690 | 23.4 |
| 35.8 | 2.505 | 63.2 |
| 36.2 | 2.483 | 32.7 |
| 36.6 | 2.458 | 29.7 |
| 45.5 | 1.992 | 26.6 |
| 60.4 | 1.532 | 25.9 |
| 63.6 | 1.464 | 29.3 |



Entry 7:
The following is a computed powder XRD pattern of Li4Cr2Co3Sn3O16. It was derived from a GGA+U-relaxed structure, using a wavelength of 1.5418 Å.

Crystal structure
```
Li4Cr2Co3Sn3O16
1.0
5.948 0.000 0.000
2.947 5.204 0.000
0.099 0.111 9.544
Li Cr Co Sn O
4 2 3 3 16
Direct
0.000 0.000 0.000
0.006 0.013 0.512
0.363 0.364 0.407
0.701 0.706 0.894
0.366 0.363 0.990
0.697 0.690 0.499
0.193 0.690 0.719
0.685 0.199 0.723
0.856 0.856 0.225
0.194 0.196 0.721
0.364 0.859 0.221
0.859 0.364 0.221
0.015 0.016 0.326
0.016 0.014 0.815
0.070 0.525 0.848
0.183 0.697 0.109
0.188 0.189 0.096
0.347 0.849 0.608
0.369 0.373 0.616
0.504 0.512 0.835
0.518 0.070 0.849
0.545 0.546 0.359
0.556 0.990 0.352
0.696 0.184 0.109
0.704 0.704 0.107
0.857 0.347 0.604
0.868 0.852 0.623
0.990 0.557 0.351
```

Largest 12 diffraction maxima, by angle, 15° ≤ 2θ ≤ 90°:
| 2θ (°) | d/Å | intensity |
| --- | --- | --- |
| 18.6 | 4.772 | 100.0 |
| 19.5 | 4.551 | 59.5 |
| 19.7 | 4.506 | 23.4 |
| 25.2 | 3.531 | 15.3 |
| 35.2 | 2.549 | 15.7 |
| 35.4 | 2.536 | 15.3 |
| 35.7 | 2.516 | 32.3 |
| 35.9 | 2.500 | 47.1 |
| 36.0 | 2.496 | 15.2 |
| 39.7 | 2.272 | 16.3 |
| 45.3 | 2.003 | 25.5 |
| 61.8 | 1.502 | 14.7 |



Entry 8:
The following is a computed powder XRD pattern of Li4Cr3Co3Te2O16. It was derived from a GGA+U-relaxed structure, using a wavelength of 1.5418 Å.

Crystal structure
```
Li4Cr3Co3Te2O16
1.0
5.153 -2.971 0.000
5.153 2.971 0.000
-0.076 0.000 9.683
Li Cr Co Te O
4 3 3 2 16
Direct
0.000 0.000 0.000
0.003 0.003 0.510
0.331 0.331 0.582
0.661 0.661 0.083
0.168 0.659 0.280
0.659 0.168 0.280
0.824 0.824 0.780
0.170 0.170 0.278
0.341 0.823 0.779
0.823 0.341 0.779
0.325 0.325 0.008
0.666 0.666 0.508
0.002 0.002 0.189
0.036 0.470 0.155
0.158 0.653 0.908
0.166 0.166 0.909
0.329 0.329 0.380
0.331 0.841 0.396
0.470 0.036 0.155
0.476 0.476 0.148
0.517 0.517 0.628
0.526 0.964 0.638
0.653 0.158 0.908
0.664 0.664 0.885
0.833 0.833 0.397
0.841 0.331 0.396
0.964 0.526 0.638
0.995 0.995 0.694
```

Largest 12 diffraction maxima, by angle, 15° ≤ 2θ ≤ 90°:
| 2θ (°) | d/Å | intensity |
| --- | --- | --- |
| 19.5 | 4.556 | 92.5 |
| 19.6 | 4.536 | 100.0 |
| 25.2 | 3.537 | 29.6 |
| 25.3 | 3.518 | 28.4 |
| 32.7 | 2.741 | 35.2 |
| 32.8 | 2.728 | 33.7 |
| 35.3 | 2.542 | 30.5 |
| 35.5 | 2.529 | 60.5 |
| 36.0 | 2.491 | 26.5 |
| 36.2 | 2.485 | 28.6 |
| 45.2 | 2.007 | 26.0 |
| 62.5 | 1.486 | 43.1 |